[1]
# Rb3Pd2F7
Calculated powder XRD pattern, Cu Ka. Input: a structure optimized by DFT (PBE).
No peak broadening, texture or thermal motion is included.

The 10 most intense peaks (10 to 80 degrees two-theta), by angle:
two_theta  d_spacing  Rel. int.
15.77  5.621  11
28.48  3.134  100
28.89  3.091  65
40.11  2.248  16
41.31  2.185  44
50.18  1.818  17
50.94  1.793  40
58.94  1.567  19
59.85  1.545  14
67.80  1.382  11

Cell and atoms:
```
Rb3Pd2F7
1.0
-2.1853 2.1853 11.2415
2.1853 -2.1853 11.2415
2.1853 2.1853 -11.2415
Rb Pd F
3 2 7
Cartesian
0.0000 0.0000 0.0000
0.0000 0.0000 4.1221
0.0000 0.0000 18.3609
0.0000 0.0000 9.0913
0.0000 0.0000 13.3917
2.1853 0.0000 2.1312
0.0000 0.0000 6.9256
2.1853 0.0000 9.1103
0.0000 0.0000 11.2415
0.0000 2.1853 2.1312
0.0000 0.0000 15.5573
0.0000 2.1853 9.1103
```

[2]
# Mg2CdGaAg5
Calculated powder XRD pattern, Cu Ka. Input: a structure optimized by DFT (PBE).
No peak broadening, texture or thermal motion is included.

The 10 most intense peaks (10 to 80 degrees two-theta), by angle:
two_theta  d_spacing  Rel. int.
26.25  3.395  32
31.82  2.813  67
34.58  2.594  45
35.68  2.516  34
38.94  2.313  100
47.82  1.902  22
53.28  1.719  21
59.01  1.565  15
61.49  1.508  14
68.81  1.364  11

Cell and atoms:
```
Mg2CdGaAg5
1.0
-3.9775 3.9775 5.6858
3.9775 -3.9775 5.6858
3.9775 3.9775 -5.6858
Mg Cd Ga Ag
4 2 2 10
Cartesian
4.9212 0.9437 0.0000
0.9437 3.0338 0.0000
3.0338 0.9437 5.6858
-0.9437 3.0338 5.6858
0.0000 0.0000 2.8429
0.0000 0.0000 8.5287
3.9775 0.0000 2.8429
0.0000 3.9775 2.8429
0.0000 0.0000 0.0000
2.4390 1.5385 -1.5119
2.4390 -1.5385 4.1739
2.4390 1.5385 1.5119
2.4390 -1.5385 7.1977
0.0000 0.0000 5.6858
1.5385 5.5160 -1.5119
1.5385 2.4390 4.1739
1.5385 5.5160 1.5119
1.5385 2.4390 7.1977
```